Diffraction record for Cs4Sb2Se5. The powder diffraction line list is simulated, not measured: it uses a cell relaxed with GGA-PBE and Cu Kα (λ = 1.5418 Å).

Peak list (10 most intense, 2θ from 5° to 70°, sorted by position)
| two_theta | intensity |
| --- | --- |
| 15.54 | 25.5 |
| 20.36 | 30.2 |
| 20.76 | 39.6 |
| 23.66 | 49.5 |
| 25.19 | 52.4 |
| 27.00 | 35.3 |
| 28.69 | 60.8 |
| 29.21 | 100.0 |
| 29.67 | 30.8 |
| 42.23 | 30.9 |

Structure:
a b c (Å): 7.391 7.391 10.253
angles (deg): 102.14 102.14 70.76
Fractional coordinates of all 11 atoms:
Cs1 0.000 0.000 0.000
Cs2 0.322 0.322 0.282
Cs3 0.561 0.561 0.047
Cs4 0.689 0.689 0.625
Sb1 0.237 0.237 0.766
Sb2 0.972 0.972 0.386
Se1 0.010 0.010 0.653
Se2 0.026 0.483 0.931
Se3 0.320 0.849 0.336
Se4 0.483 0.026 0.931
Se5 0.849 0.320 0.336